For Na5IrS4, the PBE geometry in OQMD gives the simulated XRD peak list in this record (copper Kα).
Neutral-atom scattering factors, no anomalous dispersion.

Cell and atoms:
abc: 6.5231 9.3181 7.1803
angles: 90.00 94.04 90.00
Space group P2_1/m (No. 11)
Inequivalent atoms, fractional coordinates:
Na: 0.0000 0.0000 0.0000 (multiplicity 2)
Na: 0.0826 0.2500 0.6992 (multiplicity 2)
Na: 0.3218 0.0553 0.3815 (multiplicity 4)
Na: 0.4897 0.7500 0.0107 (multiplicity 2)
Ir: 0.1954 0.7500 0.6628 (multiplicity 2)
S: 0.1038 0.2500 0.1638 (multiplicity 2)
S: 0.2928 0.5202 0.7562 (multiplicity 4)
S: 0.3532 0.7500 0.3867 (multiplicity 2)

Peak list (8 most intense, 10 to 90 degrees two-theta, sorted by position)
two_theta  I (rel.)
15.60  100.0
16.62  90.4
17.76  34.6
19.06  72.5
21.33  55.6
35.19  55.6
35.96  33.9
38.65  31.7


For Pr3TaSe2O4F2, the PBE geometry in OQMD gives the simulated XRD peak list in this record (copper Kα).
Neutral-atom scattering factors, no anomalous dispersion.

Cell and atoms:
abc: 11.2152 3.9517 17.8576
angles: 90.00 90.00 90.00
Space group Pnma (No. 62)
Inequivalent atoms, fractional coordinates:
Pr: 0.0053 0.2500 0.1067 (multiplicity 4)
Pr: 0.0641 0.2500 0.6986 (multiplicity 4)
Pr: 0.2071 0.7500 0.4701 (multiplicity 4)
Ta: 0.1946 0.2500 0.3050 (multiplicity 4)
Se: 0.0082 0.2500 0.4216 (multiplicity 4)
Se: 0.2177 0.7500 0.0934 (multiplicity 4)
O: 0.0539 0.2500 0.2432 (multiplicity 4)
O: 0.1719 0.7500 0.3210 (multiplicity 4)
O: 0.1831 0.7500 0.7366 (multiplicity 4)
O: 0.2148 0.7500 0.9020 (multiplicity 4)
F: 0.0629 0.2500 0.8317 (multiplicity 4)
F: 0.0687 0.2500 0.9743 (multiplicity 4)

Peak list (8 most intense, 10 to 90 degrees two-theta, sorted by position)
two_theta  I (rel.)
26.19  34.5
28.25  63.7
29.40  31.2
31.51  100.0
32.32  25.6
45.29  17.2
45.93  32.9
51.12  17.1